1.
SrCuN: simulated powder diffractogram (λ = 1.5418 Å (Cu Kα)), based on a cell relaxed with GGA-PBE.

Crystal structure
Lattice parameters (Å, degrees): 9.083 13.261 5.396 90.00 90.00 90.00
Space group Pnma (No. 62)
Asymmetric unit:
Sr  0.021  0.250  0.003 (multiplicity 4)
Sr  0.161  0.586  0.516 (multiplicity 8)
Cu  0.000  0.000  0.000 (multiplicity 4)
Cu  0.179  0.156  0.514 (multiplicity 8)
N  0.087  0.081  0.760 (multiplicity 8)
N  0.242  0.750  0.785 (multiplicity 4)

Principal peaks in the range 2θ from 10° to 80°, in order of rising 2θ:
- (1 3 1), 2θ 27.9, 3.200 Å, I = 197
- (0 0 2), 2θ 33.2, 2.697 Å, I = 1000
- (2 4 0), 2θ 33.5, 2.678 Å, I = 257
- (3 0 1), 2θ 34.0, 2.640 Å, I = 912
- (1 5 1), 2θ 39.1, 2.302 Å, I = 218
- (2 4 2), 2θ 47.9, 1.900 Å, I = 236

2.
Rb3BaCe2S6: simulated powder diffractogram (λ = 1.5418 Å (Cu Kα)), based on a cell relaxed with GGA-PBE.

Crystal structure
Lattice parameters (Å, degrees): 7.522 13.026 8.087 90.00 108.24 90.00
Space group C2/m (No. 12)
Asymmetric unit:
Rb  0.000  0.000  0.000 (multiplicity 2)
Rb  0.000  0.339  0.000 (multiplicity 4)
Ba  0.000  0.500  0.500 (multiplicity 2)
Ce  0.000  0.167  0.500 (multiplicity 4)
S  0.200  0.000  0.697 (multiplicity 4)
S  0.250  0.183  0.302 (multiplicity 8)

Principal peaks in the range 2θ from 10° to 80°, in order of rising 2θ:
- (0 0 1), 2θ 11.5, 7.681 Å, I = 183
- (0 0 2), 2θ 23.2, 3.840 Å, I = 195
- (2 0 0), 2θ 24.9, 3.575 Å, I = 434
- (1 3 1), 2θ 28.3, 3.149 Å, I = 1000
- (2 0 2), 2θ 39.4, 2.287 Å, I = 354
- (3 3 -1), 2θ 41.6, 2.171 Å, I = 342

3.
ScPa3N6: simulated powder diffractogram (λ = 1.5418 Å (Cu Kα)), based on a cell relaxed with GGA-PBE.

Crystal structure
Lattice parameters (Å, degrees): 9.092 11.189 5.646 90.00 90.00 90.00
Space group Cmc2_1 (No. 36)
Asymmetric unit:
Sc  0.000  0.163  0.000 (multiplicity 4)
Pa  0.000  0.393  0.571 (multiplicity 4)
Pa  0.199  0.115  0.520 (multiplicity 8)
N  0.000  0.025  0.713 (multiplicity 4)
N  0.000  0.222  0.362 (multiplicity 4)
N  0.156  0.260  0.802 (multiplicity 8)
N  0.159  0.487  0.297 (multiplicity 8)

Principal peaks in the range 2θ from 10° to 80°, in order of rising 2θ:
- (1 1 1), 2θ 20.1, 4.408 Å, I = 285
- (2 2 1), 2θ 29.9, 2.992 Å, I = 1000
- (1 3 1), 2θ 30.4, 2.944 Å, I = 255
- (0 0 2), 2θ 31.7, 2.823 Å, I = 221
- (0 4 0), 2θ 32.0, 2.797 Å, I = 199
- (0 4 2), 2θ 45.7, 1.987 Å, I = 208

4.
Sm6Pt2SBr3: simulated powder diffractogram (λ = 1.5418 Å (Cu Kα)), based on a cell relaxed with GGA-PBE.

Crystal structure
Lattice parameters (Å, degrees): 7.336 12.656 7.721 90.00 108.21 90.00
Space group C2/m (No. 12)
Asymmetric unit:
Sm  0.220  0.000  0.199 (multiplicity 4)
Sm  0.240  0.327  0.201 (multiplicity 8)
Pt  0.000  0.167  0.000 (multiplicity 4)
S  0.000  0.500  0.000 (multiplicity 2)
Br  0.000  0.000  0.500 (multiplicity 2)
Br  0.000  0.342  0.500 (multiplicity 4)

Principal peaks in the range 2θ from 10° to 80°, in order of rising 2θ:
- (0 0 1), 2θ 12.1, 7.334 Å, I = 232
- (2 0 -2), 2θ 29.3, 3.047 Å, I = 1000
- (1 3 2), 2θ 37.7, 2.385 Å, I = 137
- (1 3 -3), 2θ 41.1, 2.196 Å, I = 201
- (3 3 -1), 2θ 42.7, 2.115 Å, I = 259
- (0 6 0), 2θ 42.9, 2.109 Å, I = 133

5.
Tm5Co4Si14: simulated powder diffractogram (λ = 1.5418 Å (Cu Kα)), based on a cell relaxed with GGA-PBE.

Crystal structure
Lattice parameters (Å, degrees): 12.299 7.782 7.706 90.00 98.82 90.00
Space group P2_1/c (No. 14)
Asymmetric unit:
Tm  0.000  0.000  0.000 (multiplicity 2)
Tm  0.364  0.248  0.342 (multiplicity 4)
Tm  0.365  0.749  0.340 (multiplicity 4)
Co  0.000  0.127  0.628 (multiplicity 4)
Co  0.249  0.000  0.061 (multiplicity 4)
Si  0.000  0.166  0.334 (multiplicity 4)
Si  0.177  0.005  0.769 (multiplicity 4)
Si  0.177  0.226  0.550 (multiplicity 4)
Si  0.177  0.726  0.038 (multiplicity 4)
Si  0.178  0.506  0.818 (multiplicity 4)
Si  0.440  0.000  0.109 (multiplicity 4)
Si  0.441  0.000  0.612 (multiplicity 4)

Principal peaks in the range 2θ from 10° to 80°, in order of rising 2θ:
- (3 0 0), 2θ 21.9, 4.051 Å, I = 408
- (1 2 0), 2θ 24.0, 3.706 Å, I = 373
- (1 0 2), 2θ 25.6, 3.480 Å, I = 565
- (1 2 2), 2θ 34.6, 2.594 Å, I = 463
- (4 2 0), 2θ 37.6, 2.395 Å, I = 451
- (3 2 -2), 2θ 37.7, 2.386 Å, I = 1000